Starting from DFT lattice parameters and positions (GGA-PBE), the powder X-ray diffraction pattern of LaSmAg2Te4 was calculated for λ = 1.5418 Å (Cu Kα).
Intensities are scaled so that the largest is 100.

Structural model:
a b c (Å): 7.638 7.742 8.644
angles (deg): 90.00 90.00 90.00
Sites, in units of the cell vectors:
1 La 0.000 0.000 0.000
2 La 0.500 0.500 0.500
3 Sm 0.000 0.000 0.500
4 Sm 0.500 0.500 0.000
5 Ag 0.000 0.500 0.163
6 Ag 0.000 0.500 0.837
7 Ag 0.500 0.000 0.337
8 Ag 0.500 0.000 0.663
9 Te 0.237 0.242 0.311
10 Te 0.237 0.758 0.689
11 Te 0.263 0.258 0.811
12 Te 0.263 0.742 0.189
13 Te 0.737 0.258 0.189
14 Te 0.737 0.742 0.811
15 Te 0.763 0.242 0.689
16 Te 0.763 0.758 0.311

Largest 10 diffraction maxima, in order of rising 2θ, 15 to 90 degrees two-theta:
3.383 Å, I = 97
2.883 Å, I = 34
2.862 Å, I = 33
2.719 Å, I = 100
2.128 Å, I = 27
2.111 Å, I = 26
2.008 Å, I = 35
1.935 Å, I = 18
1.909 Å, I = 21
1.619 Å, I = 17

***

Starting from DFT lattice parameters and positions (GGA-PBE), the powder X-ray diffraction pattern of LaSmTlAg was calculated for λ = 1.5418 Å (Cu Kα).
Intensities are scaled so that the largest is 100.

Structural model:
a b c (Å): 3.767 3.767 8.031
angles (deg): 90.00 90.00 90.00
Sites, in units of the cell vectors:
1 La 0.000 0.000 0.000
2 Sm 0.000 0.000 0.527
3 Tl 0.500 0.500 0.272
4 Ag 0.500 0.500 0.742

Largest 10 diffraction maxima, in order of rising 2θ, 15 to 90 degrees two-theta:
2.747 Å, I = 100
2.664 Å, I = 47
2.008 Å, I = 9
1.883 Å, I = 17
1.603 Å, I = 18
1.553 Å, I = 35
1.374 Å, I = 11
1.261 Å, I = 7
1.198 Å, I = 8
1.191 Å, I = 8

***

Starting from DFT lattice parameters and positions (GGA-PBE), the powder X-ray diffraction pattern of La2SmZn2Ag2 was calculated for λ = 1.5418 Å (Cu Kα).
Intensities are scaled so that the largest is 100.

Structural model:
a b c (Å): 9.608 9.608 9.608
angles (deg): 28.40 28.40 28.40
Sites, in units of the cell vectors:
1 La 0.123 0.123 0.123
2 La 0.877 0.877 0.877
3 Sm 0.000 0.000 0.000
4 Zn 0.268 0.268 0.268
5 Zn 0.732 0.732 0.732
6 Ag 0.393 0.393 0.393
7 Ag 0.607 0.607 0.607

Largest 10 diffraction maxima, in order of rising 2θ, 15 to 90 degrees two-theta:
4.039 Å, I = 15
3.515 Å, I = 18
2.838 Å, I = 50
2.637 Å, I = 93
2.357 Å, I = 100
2.288 Å, I = 18
1.757 Å, I = 27
1.452 Å, I = 27
1.409 Å, I = 26
1.361 Å, I = 17